The following is a theoretical X-ray powder pattern of CoP4H16N2O16. It was derived from a crystal structure in the Materials Project, relaxed with PBE+U, using CuKα.

Principal peaks in the range 2θ from 10° to 90°, by angle:
Position (°2θ), Rel. int.
12.1, 48
13.1, 67
18.6, 100
24.4, 48
25.4, 87
27.7, 46

Structure:
a b c (Å): 7.165 7.401 7.820
angles (deg): 98.90 109.05 90.02
Space group P-1 (No. 2)
Symmetry-distinct sites (fractional):
Co  0.000  0.000  0.000 [1 per cell]
P  0.162  0.249  0.738 [2 per cell]
P  0.246  0.718  0.261 [2 per cell]
H  0.118  0.204  0.342 [2 per cell]
H  0.120  0.337  0.198 [2 per cell]
H  0.237  0.482  0.974 [2 per cell]
H  0.328  0.901  0.824 [2 per cell]
H  0.351  0.672  0.811 [2 per cell]
H  0.431  0.785  0.675 [2 per cell]
H  0.432  0.233  0.575 [2 per cell]
H  0.446  0.182  0.096 [2 per cell]
N  0.416  0.794  0.804 [2 per cell]
O  0.061  0.220  0.212 [2 per cell]
O  0.074  0.736  0.355 [2 per cell]
O  0.201  0.117  0.876 [2 per cell]
O  0.229  0.523  0.157 [2 per cell]
O  0.235  0.198  0.577 [2 per cell]
O  0.241  0.868  0.150 [2 per cell]
O  0.249  0.447  0.841 [2 per cell]
O  0.431  0.744  0.442 [2 per cell]